Structure and theoretical PXRD pattern of MgB2H8 (a DFT-relaxed cell (PBE, Alexandria); copper Kα).
Neutral-atom scattering factors, no anomalous dispersion.

Peak list (10 most intense, 10° ≤ 2θ ≤ 80°, low angle first)
| 2θ/deg | Rel. int. |
| --- | --- |
| 21.94 | 100 |
| 22.54 | 45 |
| 27.20 | 43 |
| 38.12 | 21 |
| 39.21 | 43 |
| 44.74 | 35 |
| 46.01 | 14 |
| 49.18 | 13 |
| 61.23 | 12 |
| 62.00 | 11 |

Cell and atoms:
a = 5.580 Å, b = 5.580 Å, c = 5.893 Å
α = 90.00°, β = 90.00°, γ = 90.00°
Space group P-4n2 (No. 118)
One atom of each set of equivalent atoms:
Mg1 0.000 0.000 0.000 (multiplicity 2)
B1 0.249 0.251 0.250 (multiplicity 4)
H1 0.038 0.781 0.711 (multiplicity 8)
H2 0.140 0.328 0.085 (multiplicity 8)



Structure and theoretical PXRD pattern of MgB2H8 (a DFT-relaxed cell (PBE, Alexandria); copper Kα).
Neutral-atom scattering factors, no anomalous dispersion.

Peak list (10 most intense, 10° ≤ 2θ ≤ 80°, low angle first)
| 2θ/deg | Rel. int. |
| --- | --- |
| 21.73 | 55 |
| 22.06 | 100 |
| 26.97 | 45 |
| 38.31 | 47 |
| 38.90 | 23 |
| 44.29 | 18 |
| 44.99 | 32 |
| 50.01 | 13 |
| 60.39 | 12 |
| 61.10 | 13 |

Cell and atoms:
a = 5.785 Å, b = 5.785 Å, c = 5.616 Å
α = 90.00°, β = 90.00°, γ = 90.00°
Space group P4_2nm (No. 102)
One atom of each set of equivalent atoms:
Mg1 0.000 0.000 0.000 (multiplicity 2)
B1 0.236 0.236 0.740 (multiplicity 4)
H1 0.047 0.301 0.813 (multiplicity 8)
H2 0.124 0.876 0.317 (multiplicity 4)
H3 0.224 0.224 0.525 (multiplicity 4)



Structure and theoretical PXRD pattern of MgB2H8 (a DFT-relaxed cell (PBE, Alexandria); copper Kα).
Neutral-atom scattering factors, no anomalous dispersion.

Peak list (10 most intense, 10° ≤ 2θ ≤ 80°, low angle first)
| 2θ/deg | Rel. int. |
| --- | --- |
| 22.00 | 100 |
| 23.56 | 37 |
| 27.69 | 33 |
| 37.62 | 25 |
| 40.50 | 41 |
| 44.87 | 31 |
| 47.30 | 13 |
| 48.21 | 11 |
| 54.34 | 10 |
| 59.24 | 12 |

Cell and atoms:
a = 7.551 Å, b = 7.551 Å, c = 12.360 Å
α = 90.00°, β = 90.00°, γ = 90.00°
Space group I4_1/acd (No. 142, origin choice 2)
One atom of each set of equivalent atoms:
Mg1 0.000 0.250 0.125 (multiplicity 8)
B1 0.035 0.000 0.250 (multiplicity 16)
H1 0.061 0.005 0.830 (multiplicity 32)
H2 0.120 0.118 0.995 (multiplicity 32)



Structure and theoretical PXRD pattern of MgBH4 (a DFT-relaxed cell (PBE, Alexandria); copper Kα).
Neutral-atom scattering factors, no anomalous dispersion.

Peak list (10 most intense, 10° ≤ 2θ ≤ 80°, low angle first)
| 2θ/deg | Rel. int. |
| --- | --- |
| 17.73 | 92 |
| 27.63 | 29 |
| 28.05 | 38 |
| 29.47 | 100 |
| 31.92 | 21 |
| 39.42 | 30 |
| 40.52 | 35 |
| 45.96 | 15 |
| 49.64 | 15 |
| 50.79 | 20 |

Cell and atoms:
a = 5.406 Å, b = 3.949 Å, c = 6.059 Å
α = 90.00°, β = 112.28°, γ = 90.00°
Space group P2_1/m (No. 11)
One atom of each set of equivalent atoms:
Mg1 0.049 0.250 0.313 (multiplicity 2)
B1 0.263 0.750 0.157 (multiplicity 2)
H1 0.022 0.750 0.112 (multiplicity 2)
H2 0.311 0.750 0.974 (multiplicity 2)
H3 0.371 0.502 0.275 (multiplicity 4)



Structure and theoretical PXRD pattern of MgB3H12 (a DFT-relaxed cell (PBE, Alexandria); copper Kα).
Neutral-atom scattering factors, no anomalous dispersion.

Peak list (10 most intense, 10° ≤ 2θ ≤ 80°, low angle first)
| 2θ/deg | Rel. int. |
| --- | --- |
| 17.23 | 100 |
| 34.86 | 25 |
| 37.65 | 16 |
| 40.58 | 12 |
| 43.72 | 4 |
| 47.68 | 8 |
| 48.64 | 4 |
| 52.50 | 5 |
| 53.41 | 7 |
| 55.68 | 6 |

Cell and atoms:
a = 6.9716 Å, b = 6.9716 Å, c = 19.6889 Å
α = 90.00°, β = 90.00°, γ = 120.00°
Space group R-3c (No. 167, hexagonal axes)
One atom of each set of equivalent atoms:
Mg1 0.0000 0.0000 0.0000 (multiplicity 6)
B1 0.0000 0.4835 0.2500 (multiplicity 18)
H1 0.0091 0.3913 0.1985 (multiplicity 36)
H2 0.0132 0.1963 0.4089 (multiplicity 36)